No. 1
The following is a calculated PXRD pattern of Li2FeF4. It was derived from a structure optimized by DFT (PBE+U), using Cu Kα X-rays.
No peak broadening, texture or thermal motion is included.

Top 10 peaks for 2θ from 5° to 70°, low angle first:
2theta, Rel. int., index
21.1, 99, 1 0 1
21.3, 49, 0 0 2
25.8, 30, 1 1 0
33.7, 100, 1 1 2
37.2, 24, 1 0 3
42.8, 39, 2 1 1
53.0, 20, 2 2 0
57.7, 17, 2 2 2
58.1, 29, 2 0 4
64.3, 20, 1 3 2

Crystal structure
a b c (Å): 4.886 4.886 8.356
angles (deg): 90.00 90.00 90.00
Element x y z (fractional)
Li1 0.000 0.000 0.000
Li2 0.000 0.500 0.250
Li3 0.500 0.000 0.750
Li4 0.500 0.500 0.500
Fe1 0.000 0.000 0.500
Fe2 0.500 0.500 0.000
F1 0.205 0.281 0.108
F2 0.219 0.705 0.392
F3 0.281 0.795 0.892
F4 0.295 0.219 0.608
F5 0.705 0.781 0.608
F6 0.719 0.205 0.892
F7 0.781 0.295 0.392
F8 0.795 0.719 0.108


No. 2
The following is a calculated PXRD pattern of LiMoAsO6. It was derived from a structure optimized by DFT (PBE+U), using Cu Kα X-rays.
No peak broadening, texture or thermal motion is included.

Top 10 peaks for 2θ from 5° to 70°, low angle first:
2theta, Rel. int., index
13.2, 32, 0 1 1
18.3, 23, 1 0 -1
19.8, 86, 0 1 2
21.0, 100, 1 1 -1
26.7, 38, 0 2 2
27.6, 29, 0 1 3
28.5, 88, 1 2 1
33.8, 26, 1 1 3
35.4, 30, 0 3 2
35.9, 19, 0 1 4

Crystal structure
a b c (Å): 5.234 8.707 10.499
angles (deg): 90.00 95.19 90.00
Element x y z (fractional)
Li1 0.034 0.000 0.390
Li2 0.311 0.671 0.897
Li3 0.689 0.171 0.103
Li4 0.966 0.500 0.610
Mo1 0.118 0.345 0.336
Mo2 0.323 0.832 0.157
Mo3 0.677 0.332 0.843
Mo4 0.882 0.845 0.664
As1 0.158 0.066 0.894
As2 0.378 0.690 0.464
As3 0.622 0.190 0.536
As4 0.842 0.566 0.106
O1 0.043 0.877 0.227
O2 0.068 0.693 0.734
O3 0.109 0.016 0.732
O4 0.129 0.630 0.062
O5 0.179 0.832 0.505
O6 0.227 0.892 0.969
O7 0.244 0.511 0.483
O8 0.322 0.187 0.449
O9 0.351 0.370 0.233
O10 0.392 0.199 0.931
O11 0.459 0.710 0.309
O12 0.499 0.001 0.179
O13 0.501 0.501 0.821
O14 0.541 0.210 0.691
O15 0.608 0.699 0.069
O16 0.649 0.870 0.767
O17 0.678 0.687 0.551
O18 0.756 0.011 0.517
O19 0.773 0.392 0.031
O20 0.821 0.332 0.495
O21 0.871 0.130 0.938
O22 0.891 0.516 0.268
O23 0.932 0.193 0.266
O24 0.957 0.377 0.773